The following is a calculated X-ray diffraction stick pattern of RbHoCuCl5. It was derived from DFT lattice parameters and positions (PBE), using Cu Ka.
Peak positions follow from Bragg's law for the DFT cell and can differ from measured ones.

Crystal structure
```
data_RbHoCuCl5
_space_group_name_H-M_alt 'C 1 2/c 1'
_space_group_IT_number 15
_space_group_name_Hall '-C 2yc'
_cell_length_a 8.8780
_cell_length_b 11.8922
_cell_length_c 9.9830
_cell_angle_alpha 90.00
_cell_angle_beta 113.06
_cell_angle_gamma 90.00
loop_
_atom_site_label
_atom_site_type_symbol
_atom_site_fract_x
_atom_site_fract_y
_atom_site_fract_z
_atom_site_occupancy
Rb1 Rb 0.0000 0.1533 0.2500 1
Ho1 Ho 0.0000 0.5000 0.0000 1
Cu1 Cu 0.0000 0.1908 0.7500 1
Cl1 Cl 0.0000 0.4270 0.2500 1
Cl2 Cl 0.1005 0.2976 0.6068 1
Cl3 Cl 0.1955 0.0700 0.9209 1
```

Main lines, sorted by position (2θ from 10° to 90°):
2θ/deg  I (rel.)
13.15  49
19.57  100
21.76  58
24.49  46
24.97  56
31.86  22
38.05  22
40.18  28
43.05  24
46.53  34